This entry pairs a crystal structure of ZnS with its computed powder diffractogram. Radiation: Cu Kα (weighted mean of Kα1 and Kα2). Structure: a DFT-relaxed cell (PBE, the Materials Project).

Structural model:
Unit cell a=3.8539 b=3.8539 c=75.5605 alpha=90.00 beta=90.00 gamma=120.00
Atoms (fractional coordinates):
Zn  0.0000  0.0000  0.0000
Zn  0.0000  0.0000  0.1250
Zn  0.0000  0.0000  0.2083
Zn  0.0000  0.0000  0.3750
Zn  0.0000  0.0000  0.5000
Zn  0.0000  0.0000  0.6250
Zn  0.0000  0.0000  0.7500
Zn  0.0000  0.0000  0.8750
Zn  0.3333  0.6667  0.0417
Zn  0.3333  0.6667  0.1667
Zn  0.3333  0.6667  0.2917
Zn  0.3333  0.6667  0.4167
Zn  0.3333  0.6667  0.5417
Zn  0.3333  0.6667  0.6667
Zn  0.3333  0.6667  0.7917
Zn  0.3333  0.6667  0.9167
Zn  0.6667  0.3333  0.0833
Zn  0.6667  0.3333  0.2500
Zn  0.6667  0.3333  0.3333
Zn  0.6667  0.3333  0.4583
Zn  0.6667  0.3333  0.5833
Zn  0.6667  0.3333  0.7083
Zn  0.6667  0.3333  0.8333
Zn  0.6667  0.3333  0.9583
S  0.0000  0.0000  0.0312
S  0.0000  0.0000  0.1562
S  0.0000  0.0000  0.2396
S  0.0000  0.0000  0.4062
S  0.0000  0.0000  0.5312
S  0.0000  0.0000  0.6562
S  0.0000  0.0000  0.7812
S  0.0000  0.0000  0.9062
S  0.3333  0.6667  0.0729
S  0.3333  0.6667  0.1979
S  0.3333  0.6667  0.3229
S  0.3333  0.6667  0.4479
S  0.3333  0.6667  0.5729
S  0.3333  0.6667  0.6979
S  0.3333  0.6667  0.8229
S  0.3333  0.6667  0.9479
S  0.6667  0.3333  0.1146
S  0.6667  0.3333  0.2812
S  0.6667  0.3333  0.3646
S  0.6667  0.3333  0.4896
S  0.6667  0.3333  0.6146
S  0.6667  0.3333  0.7396
S  0.6667  0.3333  0.8646
S  0.6667  0.3333  0.9896

The 10 most intense peaks (10 to 90 degrees two-theta), in order of falling intensity:
2θ (°)	Rel. int.	hkl
28.36	100	0 0 24
47.16	65	1 1 0
55.94	44	1 1 24
87.71	19	3 0 0
76.11	15	1 2 8
32.86	11	1 0 16
68.90	9	2 0 32
78.46	4	1 1 48
58.67	3	0 0 48
27.98	3	1 0 7

This entry pairs a crystal structure of ZnS with its computed powder diffractogram. Radiation: Cu Kα (weighted mean of Kα1 and Kα2). Structure: a DFT-relaxed cell (PBE, the Materials Project).

Structural model:
Unit cell a=3.8526 b=3.8526 c=75.5762 alpha=90.00 beta=90.00 gamma=120.00
Atoms (fractional coordinates):
Zn  0.0000  0.0000  0.0000
Zn  0.0000  0.0000  0.0834
Zn  0.0000  0.0000  0.2083
Zn  0.0000  0.0000  0.2917
Zn  0.0000  0.0000  0.4583
Zn  0.0000  0.0000  0.5833
Zn  0.0000  0.0000  0.7083
Zn  0.0000  0.0000  0.8333
Zn  0.3333  0.6667  0.1250
Zn  0.3333  0.6667  0.2500
Zn  0.3333  0.6667  0.3750
Zn  0.3333  0.6667  0.5417
Zn  0.3333  0.6667  0.6667
Zn  0.3333  0.6667  0.7500
Zn  0.3333  0.6667  0.8750
Zn  0.3333  0.6667  0.9584
Zn  0.6667  0.3333  0.0417
Zn  0.6667  0.3333  0.1667
Zn  0.6667  0.3333  0.3333
Zn  0.6667  0.3333  0.4167
Zn  0.6667  0.3333  0.5000
Zn  0.6667  0.3333  0.6250
Zn  0.6667  0.3333  0.7917
Zn  0.6667  0.3333  0.9167
S  0.0000  0.0000  0.0312
S  0.0000  0.0000  0.1146
S  0.0000  0.0000  0.2396
S  0.0000  0.0000  0.3229
S  0.0000  0.0000  0.4896
S  0.0000  0.0000  0.6146
S  0.0000  0.0000  0.7396
S  0.0000  0.0000  0.8646
S  0.3333  0.6667  0.1562
S  0.3333  0.6667  0.2813
S  0.3333  0.6667  0.4063
S  0.3333  0.6667  0.5729
S  0.3333  0.6667  0.6979
S  0.3333  0.6667  0.7813
S  0.3333  0.6667  0.9062
S  0.3333  0.6667  0.9896
S  0.6667  0.3333  0.0729
S  0.6667  0.3333  0.1979
S  0.6667  0.3333  0.3646
S  0.6667  0.3333  0.4479
S  0.6667  0.3333  0.5312
S  0.6667  0.3333  0.6562
S  0.6667  0.3333  0.8229
S  0.6667  0.3333  0.9479

The 10 most intense peaks (10 to 90 degrees two-theta), in order of falling intensity:
2θ (°)	Rel. int.	hkl
28.35	100	0 0 24
47.18	86	1 1 0
55.96	57	1 1 24
27.99	40	1 0 7
29.26	23	1 0 10
46.11	14	1 0 31
27.37	14	0 1 5
49.26	12	1 0 34
29.77	12	0 1 11
87.77	11	3 0 0

This entry pairs a crystal structure of ZnS with its computed powder diffractogram. Radiation: Cu Kα (weighted mean of Kα1 and Kα2). Structure: a DFT-relaxed cell (PBE, the Materials Project).

Structural model:
Unit cell a=3.8534 b=3.8534 c=75.5875 alpha=90.00 beta=90.00 gamma=120.00
Atoms (fractional coordinates):
Zn  0.0000  0.0000  0.0000
Zn  0.0000  0.0000  0.0833
Zn  0.0000  0.0000  0.2083
Zn  0.0000  0.0000  0.3333
Zn  0.0000  0.0000  0.4583
Zn  0.0000  0.0000  0.5833
Zn  0.0000  0.0000  0.7500
Zn  0.0000  0.0000  0.8333
Zn  0.3333  0.6667  0.0417
Zn  0.3333  0.6667  0.1667
Zn  0.3333  0.6667  0.2500
Zn  0.3333  0.6667  0.3750
Zn  0.3333  0.6667  0.5417
Zn  0.3333  0.6667  0.6667
Zn  0.3333  0.6667  0.7917
Zn  0.3333  0.6667  0.9167
Zn  0.6667  0.3333  0.1250
Zn  0.6667  0.3333  0.2917
Zn  0.6667  0.3333  0.4167
Zn  0.6667  0.3333  0.5000
Zn  0.6667  0.3333  0.6250
Zn  0.6667  0.3333  0.7083
Zn  0.6667  0.3333  0.8750
Zn  0.6667  0.3333  0.9583
S  0.0000  0.0000  0.0312
S  0.0000  0.0000  0.1146
S  0.0000  0.0000  0.2396
S  0.0000  0.0000  0.3646
S  0.0000  0.0000  0.4896
S  0.0000  0.0000  0.6146
S  0.0000  0.0000  0.7812
S  0.0000  0.0000  0.8646
S  0.3333  0.6667  0.0729
S  0.3333  0.6667  0.1979
S  0.3333  0.6667  0.2812
S  0.3333  0.6667  0.4062
S  0.3333  0.6667  0.5729
S  0.3333  0.6667  0.6979
S  0.3333  0.6667  0.8229
S  0.3333  0.6667  0.9479
S  0.6667  0.3333  0.1562
S  0.6667  0.3333  0.3229
S  0.6667  0.3333  0.4479
S  0.6667  0.3333  0.5312
S  0.6667  0.3333  0.6562
S  0.6667  0.3333  0.7396
S  0.6667  0.3333  0.9062
S  0.6667  0.3333  0.9896

The 10 most intense peaks (10 to 90 degrees two-theta), in order of falling intensity:
2θ (°)	Rel. int.	hkl
28.35	100	0 0 24
47.16	83	1 1 0
55.95	55	1 1 24
28.79	20	0 1 9
27.98	19	0 1 7
27.37	13	1 0 5
27.13	11	1 0 4
76.11	10	1 0 56
87.74	10	3 0 0
30.31	10	1 0 12

This entry pairs a crystal structure of ZnS with its computed powder diffractogram. Radiation: Cu Kα (weighted mean of Kα1 and Kα2). Structure: a DFT-relaxed cell (PBE, the Materials Project).

Structural model:
Unit cell a=3.8334 b=3.8334 c=38.9269 alpha=90.00 beta=90.00 gamma=120.00
Atoms (fractional coordinates):
Zn  0.0000  0.0000  0.0000
Zn  0.0000  0.0000  0.1367
Zn  0.0000  0.0000  0.3832
Zn  0.0000  0.0000  0.6284
Zn  0.0000  0.0000  0.7894
Zn  0.3333  0.6667  0.2186
Zn  0.3333  0.6667  0.5473
Zn  0.3333  0.6667  0.8694
Zn  0.6667  0.3333  0.3007
Zn  0.6667  0.3333  0.4656
Zn  0.6667  0.3333  0.7091
Zn  0.6667  0.3333  0.9538
S  0.0000  0.0000  0.0563
S  0.0000  0.0000  0.1982
S  0.0000  0.0000  0.4447
S  0.0000  0.0000  0.6891
S  0.0000  0.0000  0.8497
S  0.3333  0.6667  0.2799
S  0.3333  0.6667  0.6082
S  0.3333  0.6667  0.9297
S  0.6667  0.3333  0.1173
S  0.6667  0.3333  0.3622
S  0.6667  0.3333  0.5267
S  0.6667  0.3333  0.7696

The 10 most intense peaks (10 to 90 degrees two-theta), in order of falling intensity:
2θ (°)	Rel. int.	hkl
47.43	100	1 1 0
27.74	90	0 1 3
29.24	77	0 1 5
27.50	54	0 0 12
55.70	41	1 1 12
30.24	41	0 1 6
48.28	28	0 1 17
28.41	25	1 0 4
44.30	24	0 1 15
32.65	24	0 1 8